[1]
The following is a theoretical powder diffraction line list of PmSnClO2. It was derived from the PBE geometry in Alexandria, using λ = 1.5418 Å (Cu Kα).

The 10 most intense peaks (2θ = 5–70°), by angle:
6.479 Å, I 63
3.938 Å, I 35
3.385 Å, I 89
2.987 Å, I 100
2.796 Å, I 84
2.510 Å, I 48
1.985 Å, I 22
1.923 Å, I 27
1.764 Å, I 32
1.653 Å, I 35

Crystal structure
abc: 6.7954 3.9701 8.2678
angles: 90.00 107.56 90.00
Fractional coordinates of all 10 atoms:
Pm (0.1687, 0.2500, 0.4097)
Pm (0.8313, 0.7500, 0.5903)
Sn (0.1779, 0.2500, 0.9285)
Sn (0.8221, 0.7500, 0.0715)
Cl (0.4449, 0.7500, 0.3157)
Cl (0.5551, 0.2500, 0.6843)
O (0.0014, 0.2500, 0.1184)
O (0.0120, 0.2500, 0.6266)
O (0.9880, 0.7500, 0.3734)
O (0.9986, 0.7500, 0.8816)

=====

[2]
The following is a theoretical powder diffraction line list of Dy2Mg3In4. It was derived from the PBE geometry in Alexandria, using λ = 1.5418 Å (Cu Kα).

The 10 most intense peaks (2θ = 5–70°), by angle:
4.245 Å, I 31
2.964 Å, I 74
2.815 Å, I 100
2.791 Å, I 82
2.637 Å, I 72
2.536 Å, I 32
2.517 Å, I 100
2.426 Å, I 33
2.320 Å, I 29
1.481 Å, I 34

Crystal structure
abc: 9.0592 9.0592 8.3229
angles: 90.00 90.00 139.15
Fractional coordinates of all 18 atoms:
Dy (0.1002, 0.8998, 0.8988)
Dy (0.3998, 0.6002, 0.3988)
Dy (0.6002, 0.3998, 0.6012)
Dy (0.8998, 0.1002, 0.1012)
Mg (0.0000, 0.0000, 0.5000)
Mg (0.0153, 0.4847, 0.7500)
Mg (0.4847, 0.0153, 0.2500)
Mg (0.5000, 0.5000, 0.0000)
Mg (0.5153, 0.9847, 0.7500)
Mg (0.9847, 0.5153, 0.2500)
In (0.1702, 0.8298, 0.5256)
In (0.1884, 0.3116, 0.7500)
In (0.3116, 0.1884, 0.2500)
In (0.3298, 0.6702, 0.0256)
In (0.6702, 0.3298, 0.9744)
In (0.6884, 0.8116, 0.7500)
In (0.8116, 0.6884, 0.2500)
In (0.8298, 0.1702, 0.4744)

=====

[3]
The following is a theoretical powder diffraction line list of Pm5Cu2. It was derived from the PBE geometry in Alexandria, using λ = 1.5418 Å (Cu Kα).

The 10 most intense peaks (2θ = 5–70°), by angle:
3.095 Å, I 25
3.027 Å, I 100
2.887 Å, I 16
2.831 Å, I 40
2.815 Å, I 48
2.695 Å, I 16
2.628 Å, I 27
2.578 Å, I 24
2.512 Å, I 20
1.696 Å, I 32

Crystal structure
abc: 9.1564 9.1564 7.0176
angles: 95.09 95.09 43.00
Fractional coordinates of all 14 atoms:
Pm (0.0616, 0.9384, 0.7500)
Pm (0.1516, 0.2867, 0.2934)
Pm (0.2867, 0.1516, 0.7934)
Pm (0.2981, 0.5130, 0.0593)
Pm (0.4870, 0.7019, 0.4407)
Pm (0.5130, 0.2981, 0.5593)
Pm (0.7019, 0.4870, 0.9407)
Pm (0.7133, 0.8484, 0.2066)
Pm (0.8484, 0.7133, 0.7066)
Pm (0.9384, 0.0616, 0.2500)
Cu (0.0887, 0.6919, 0.4367)
Cu (0.3081, 0.9113, 0.0633)
Cu (0.6919, 0.0887, 0.9367)
Cu (0.9113, 0.3081, 0.5633)